# 1
Sc2O3: simulated X-ray diffraction stick pattern (CuKα), based on a cell relaxed with PBE.
No peak broadening, texture or thermal motion is included.

Principal peaks in the range 15° ≤ 2θ ≤ 90°, most intense first:
two_theta	d [Å]	Rel. int.
31.23	2.864	100.0
52.15	1.754	51.9
62.04	1.496	22.7
21.94	4.051	17.9
42.74	2.115	13.5
46.68	1.946	10.5
36.21	2.481	9.7
63.60	1.463	7.1

Structure:
Lattice parameters (Å, degrees): 8.593 8.593 8.593 109.47 109.47 109.47
Atoms (fractional coordinates):
Sc (0.000, 0.000, 0.000)
Sc (0.000, 0.500, 0.500)
Sc (0.036, 0.786, 0.250)
Sc (0.214, 0.750, 0.964)
Sc (0.250, 0.036, 0.786)
Sc (0.250, 0.536, 0.286)
Sc (0.286, 0.250, 0.536)
Sc (0.464, 0.714, 0.750)
Sc (0.500, 0.000, 0.500)
Sc (0.500, 0.500, 0.000)
Sc (0.536, 0.286, 0.250)
Sc (0.714, 0.750, 0.464)
Sc (0.750, 0.464, 0.714)
Sc (0.750, 0.964, 0.214)
Sc (0.786, 0.250, 0.036)
Sc (0.964, 0.214, 0.750)
O (0.011, 0.465, 0.737)
O (0.035, 0.046, 0.272)
O (0.046, 0.272, 0.035)
O (0.226, 0.454, 0.489)
O (0.228, 0.274, 0.763)
O (0.237, 0.772, 0.726)
O (0.263, 0.989, 0.535)
O (0.272, 0.035, 0.046)
O (0.274, 0.763, 0.228)
O (0.454, 0.489, 0.226)
O (0.465, 0.737, 0.011)
O (0.489, 0.226, 0.454)
O (0.511, 0.774, 0.546)
O (0.535, 0.263, 0.989)
O (0.546, 0.511, 0.774)
O (0.726, 0.237, 0.772)
O (0.728, 0.965, 0.954)
O (0.737, 0.011, 0.465)
O (0.763, 0.228, 0.274)
O (0.772, 0.726, 0.237)
O (0.774, 0.546, 0.511)
O (0.954, 0.728, 0.965)
O (0.965, 0.954, 0.728)
O (0.989, 0.535, 0.263)

# 2
V3Pb: simulated X-ray diffraction stick pattern (CuKα), based on a cell relaxed with PBE.
No peak broadening, texture or thermal motion is included.

Principal peaks in the range 15° ≤ 2θ ≤ 90°, most intense first:
two_theta	d [Å]	Rel. int.
44.12	2.052	100.0
25.05	3.555	78.8
70.02	1.344	50.8
35.72	2.514	45.1
40.10	2.248	19.7
58.01	1.590	17.8
86.59	1.124	15.0
51.41	1.777	12.5

Structure:
Lattice parameters (Å, degrees): 5.028 5.028 5.028 90.00 90.00 90.00
Atoms (fractional coordinates):
V (0.000, 0.250, 0.500)
V (0.000, 0.750, 0.500)
V (0.250, 0.500, 0.000)
V (0.500, 0.000, 0.250)
V (0.500, 0.000, 0.750)
V (0.750, 0.500, 0.000)
Pb (0.000, 0.000, 0.000)
Pb (0.500, 0.500, 0.500)

# 3
GeBi2O5: simulated X-ray diffraction stick pattern (CuKα), based on a cell relaxed with PBE.
No peak broadening, texture or thermal motion is included.

Principal peaks in the range 15° ≤ 2θ ≤ 90°, most intense first:
two_theta	d [Å]	Rel. int.
27.63	3.228	100.0
28.84	3.096	59.3
32.94	2.719	42.4
54.97	1.670	42.4
25.16	3.539	39.5
28.76	3.104	34.5
45.69	1.986	23.5
33.94	2.641	22.9

Structure:
Lattice parameters (Å, degrees): 11.086 3.971 11.197 90.00 90.00 90.00
Atoms (fractional coordinates):
Ge (0.202, 0.250, 0.136)
Ge (0.298, 0.750, 0.636)
Ge (0.702, 0.250, 0.364)
Ge (0.798, 0.750, 0.864)
Bi (0.082, 0.250, 0.781)
Bi (0.141, 0.250, 0.451)
Bi (0.359, 0.750, 0.951)
Bi (0.418, 0.750, 0.281)
Bi (0.582, 0.250, 0.719)
Bi (0.641, 0.250, 0.049)
Bi (0.859, 0.750, 0.549)
Bi (0.918, 0.750, 0.219)
O (0.004, 0.250, 0.601)
O (0.050, 0.250, 0.179)
O (0.197, 0.750, 0.764)
O (0.241, 0.750, 0.128)
O (0.247, 0.250, 0.980)
O (0.253, 0.750, 0.480)
O (0.259, 0.250, 0.628)
O (0.303, 0.250, 0.264)
O (0.450, 0.750, 0.679)
O (0.496, 0.750, 0.101)
O (0.504, 0.250, 0.899)
O (0.550, 0.250, 0.321)
O (0.697, 0.750, 0.736)
O (0.741, 0.750, 0.372)
O (0.747, 0.250, 0.520)
O (0.753, 0.750, 0.020)
O (0.759, 0.250, 0.872)
O (0.803, 0.250, 0.236)
O (0.950, 0.750, 0.821)
O (0.996, 0.750, 0.399)

# 4
Mg14ZrCu: simulated X-ray diffraction stick pattern (CuKα), based on a cell relaxed with PBE.
No peak broadening, texture or thermal motion is included.

Principal peaks in the range 15° ≤ 2θ ≤ 90°, most intense first:
two_theta	d [Å]	Rel. int.
37.58	2.393	100.0
36.97	2.431	56.3
35.73	2.513	38.6
32.91	2.722	30.8
18.24	4.863	19.1
49.36	1.846	18.5
69.92	1.345	17.8
65.42	1.427	17.0

Structure:
Lattice parameters (Å, degrees): 10.051 6.373 6.373 58.66 90.00 90.00
Atoms (fractional coordinates):
Mg (0.000, 0.000, 0.000)
Mg (0.000, 0.005, 0.495)
Mg (0.000, 0.495, 0.005)
Mg (0.000, 0.497, 0.497)
Mg (0.246, 0.663, 0.663)
Mg (0.258, 0.166, 0.669)
Mg (0.258, 0.669, 0.166)
Mg (0.272, 0.157, 0.157)
Mg (0.500, 0.525, 0.999)
Mg (0.500, 0.999, 0.525)
Mg (0.728, 0.157, 0.157)
Mg (0.742, 0.166, 0.669)
Mg (0.742, 0.669, 0.166)
Mg (0.754, 0.663, 0.663)
Zr (0.500, 0.511, 0.511)
Cu (0.500, 0.987, 0.987)

# 5
KSO3F: simulated X-ray diffraction stick pattern (CuKα), based on a cell relaxed with PBE.
No peak broadening, texture or thermal motion is included.

Principal peaks in the range 15° ≤ 2θ ≤ 90°, most intense first:
two_theta	d [Å]	Rel. int.
29.63	3.015	100.0
27.68	3.222	75.3
25.00	3.563	73.9
39.54	2.279	29.3
23.55	3.778	28.1
18.81	4.718	24.2
42.71	2.117	23.9
25.65	3.473	23.0

Structure:
Lattice parameters (Å, degrees): 8.823 6.041 7.556 90.00 90.00 90.00
Atoms (fractional coordinates):
K (0.177, 0.250, 0.158)
K (0.323, 0.750, 0.658)
K (0.677, 0.250, 0.342)
K (0.823, 0.750, 0.842)
S (0.056, 0.250, 0.700)
S (0.444, 0.750, 0.200)
S (0.556, 0.250, 0.800)
S (0.944, 0.750, 0.300)
O (0.077, 0.750, 0.412)
O (0.084, 0.047, 0.798)
O (0.084, 0.453, 0.798)
O (0.416, 0.547, 0.298)
O (0.416, 0.953, 0.298)
O (0.423, 0.250, 0.912)
O (0.577, 0.750, 0.088)
O (0.584, 0.047, 0.702)
O (0.584, 0.453, 0.702)
O (0.916, 0.547, 0.202)
O (0.916, 0.953, 0.202)
O (0.923, 0.250, 0.588)
F (0.197, 0.250, 0.554)
F (0.303, 0.750, 0.054)
F (0.697, 0.250, 0.946)
F (0.803, 0.750, 0.446)

# 6
NaTiO3: simulated X-ray diffraction stick pattern (CuKα), based on a cell relaxed with PBE.
No peak broadening, texture or thermal motion is included.

Principal peaks in the range 15° ≤ 2θ ≤ 90°, most intense first:
two_theta	d [Å]	Rel. int.
32.45	2.759	100.0
46.55	1.951	78.3
22.79	3.902	71.7
67.94	1.380	40.2
57.88	1.593	36.0
52.43	1.745	21.2
77.32	1.234	14.4
86.37	1.127	12.2

Structure:
Lattice parameters (Å, degrees): 3.902 3.902 3.902 90.00 90.00 90.00
Atoms (fractional coordinates):
Na (0.000, 0.000, 0.000)
Ti (0.500, 0.500, 0.500)
O (0.000, 0.500, 0.500)
O (0.500, 0.000, 0.500)
O (0.500, 0.500, 0.000)

# 7
NdAl2Pt3: simulated X-ray diffraction stick pattern (CuKα), based on a cell relaxed with PBE.
No peak broadening, texture or thermal motion is included.

Principal peaks in the range 15° ≤ 2θ ≤ 90°, most intense first:
two_theta	d [Å]	Rel. int.
36.94	2.433	100.0
28.95	3.084	75.5
43.57	2.077	55.4
39.22	2.297	53.8
59.99	1.542	49.8
22.30	3.987	34.6
54.97	1.670	25.7
84.34	1.148	24.1

Structure:
Lattice parameters (Å, degrees): 5.620 5.620 3.987 90.00 90.00 120.00
Atoms (fractional coordinates):
Nd (0.000, 0.000, 0.000)
Al (0.333, 0.667, 0.000)
Al (0.667, 0.333, 0.000)
Pt (0.000, 0.500, 0.500)
Pt (0.500, 0.000, 0.500)
Pt (0.500, 0.500, 0.500)

# 8
Cs2NaPrCl6: simulated X-ray diffraction stick pattern (CuKα), based on a cell relaxed with PBE.
No peak broadening, texture or thermal motion is included.

Principal peaks in the range 15° ≤ 2θ ≤ 90°, most intense first:
two_theta	d [Å]	Rel. int.
22.61	3.932	100.0
32.19	2.781	68.5
46.17	1.966	47.2
39.70	2.270	47.1
27.79	3.211	32.5
62.49	1.486	25.3
52.00	1.759	21.8
76.63	1.243	20.2

Structure:
Lattice parameters (Å, degrees): 7.864 7.864 7.864 60.00 60.00 60.00
Atoms (fractional coordinates):
Cs (0.250, 0.250, 0.250)
Cs (0.750, 0.750, 0.750)
Na (0.000, 0.000, 0.000)
Pr (0.500, 0.500, 0.500)
Cl (0.252, 0.252, 0.748)
Cl (0.252, 0.748, 0.252)
Cl (0.252, 0.748, 0.748)
Cl (0.748, 0.252, 0.252)
Cl (0.748, 0.252, 0.748)
Cl (0.748, 0.748, 0.252)

# 9
MgH4Cl2O2: simulated X-ray diffraction stick pattern (CuKα), based on a cell relaxed with PBE.
No peak broadening, texture or thermal motion is included.

Principal peaks in the range 15° ≤ 2θ ≤ 90°, most intense first:
two_theta	d [Å]	Rel. int.
15.46	5.731	100.0
29.21	3.057	83.2
31.21	2.866	80.5
20.95	4.241	64.5
38.72	2.325	57.2
31.93	2.802	55.0
38.37	2.346	50.5
32.76	2.734	45.3

Structure:
Lattice parameters (Å, degrees): 5.847 5.847 3.703 100.30 100.30 92.98
Atoms (fractional coordinates):
Mg (0.000, 0.000, 0.000)
H (0.220, 0.599, 0.851)
H (0.401, 0.780, 0.149)
H (0.599, 0.220, 0.851)
H (0.780, 0.401, 0.149)
Cl (0.227, 0.227, 0.617)
Cl (0.773, 0.773, 0.383)
O (0.241, 0.759, 0.000)
O (0.759, 0.241, 0.000)

# 10
GdMgZn2: simulated X-ray diffraction stick pattern (CuKα), based on a cell relaxed with PBE.
No peak broadening, texture or thermal motion is included.

Principal peaks in the range 15° ≤ 2θ ≤ 90°, most intense first:
two_theta	d [Å]	Rel. int.
36.87	2.438	100.0
22.33	3.981	37.8
66.42	1.408	34.1
43.53	2.079	20.1
53.13	1.724	17.1
89.99	1.090	15.2
78.46	1.219	10.5
58.33	1.582	8.5

Structure:
Lattice parameters (Å, degrees): 4.876 4.876 4.876 60.00 60.00 60.00
Atoms (fractional coordinates):
Gd (0.000, 0.000, 0.000)
Mg (0.500, 0.500, 0.500)
Zn (0.250, 0.250, 0.250)
Zn (0.750, 0.750, 0.750)

# 11
MgSi2: simulated X-ray diffraction stick pattern (CuKα), based on a cell relaxed with PBE.
No peak broadening, texture or thermal motion is included.

Principal peaks in the range 15° ≤ 2θ ≤ 90°, most intense first:
two_theta	d [Å]	Rel. int.
35.00	2.563	100.0
43.72	2.071	75.8
39.06	2.306	22.2
52.15	1.754	21.2
15.73	5.633	18.4
37.75	2.383	18.1
47.16	1.927	15.0
37.64	2.389	13.3

Structure:
Lattice parameters (Å, degrees): 3.508 5.269 5.897 90.18 107.21 90.04
Atoms (fractional coordinates):
Mg (0.186, 0.257, 0.371)
Mg (0.814, 0.743, 0.629)
Si (0.117, 0.755, 0.235)
Si (0.500, 0.000, 0.000)
Si (0.500, 0.500, 0.000)
Si (0.883, 0.245, 0.765)

# 12
NaSe4O12: simulated X-ray diffraction stick pattern (CuKα), based on a cell relaxed with PBE.
No peak broadening, texture or thermal motion is included.

Principal peaks in the range 15° ≤ 2θ ≤ 90°, most intense first:
two_theta	d [Å]	Rel. int.
24.32	3.660	100.0
22.63	3.929	72.3
18.05	4.915	50.4
21.76	4.084	45.8
20.92	4.246	35.1
21.20	4.191	23.0
24.47	3.638	22.3
28.59	3.122	22.2

Structure:
Lattice parameters (Å, degrees): 6.311 5.411 20.166 90.00 99.67 90.00
Atoms (fractional coordinates):
Na (0.000, 0.219, 0.000)
Na (0.000, 0.781, 0.500)
Se (0.112, 0.071, 0.669)
Se (0.112, 0.929, 0.169)
Se (0.446, 0.097, 0.445)
Se (0.446, 0.903, 0.945)
Se (0.548, 0.357, 0.060)
Se (0.548, 0.643, 0.560)
Se (0.834, 0.478, 0.327)
Se (0.834, 0.522, 0.827)
O (0.045, 0.481, 0.291)
O (0.045, 0.519, 0.791)
O (0.143, 0.079, 0.590)
O (0.143, 0.921, 0.090)
O (0.193, 0.005, 0.432)
O (0.193, 0.995, 0.932)
O (0.316, 0.102, 0.729)
O (0.316, 0.898, 0.229)
O (0.354, 0.489, 0.003)
O (0.354, 0.511, 0.503)
O (0.471, 0.314, 0.132)
O (0.471, 0.686, 0.632)
O (0.586, 0.004, 0.887)
O (0.586, 0.045, 0.024)
O (0.586, 0.955, 0.524)
O (0.586, 0.996, 0.387)
O (0.593, 0.446, 0.285)
O (0.593, 0.554, 0.785)
O (0.792, 0.468, 0.061)
O (0.792, 0.532, 0.561)
O (0.867, 0.491, 0.909)
O (0.867, 0.509, 0.409)
O (0.871, 0.031, 0.686)
O (0.871, 0.969, 0.186)